# Mn2VF8
Simulated powder XRD pattern, Cu Kα (weighted mean of Kα1 and Kα2). Input: a crystal structure in Alexandria, relaxed with PBE+U.
Intensities are scaled so that the largest is 100.

Atomic structure:
```
data_Mn2VF8
_cell_length_a 6.4248
_cell_length_b 6.4248
_cell_length_c 4.1804
_cell_angle_alpha 90.00
_cell_angle_beta 90.00
_cell_angle_gamma 120.00
_symmetry_space_group_name_H-M 'P -3 m 1'
_symmetry_Int_Tables_number 164
_symmetry_space_group_name_Hall '-P 3 2"'
loop_
_atom_site_label
_atom_site_fract_x
_atom_site_fract_y
_atom_site_fract_z
Mn1 0.3333 0.6667 0.2483
V1 0.0000 0.0000 0.0000
F1 0.1437 0.2873 0.2394
F2 0.3333 0.6667 0.7456
```

Most intense lines, 10 to 90 degrees two-theta, low angle first:
- (0 1 1), 2θ 26.7, d = 3.342 Å, rel. 79
- (1 1 0), 2θ 27.8, d = 3.212 Å, rel. 100
- (1 2 1), 2θ 48.5, d = 1.879 Å, rel. 41
- (0 2 2), 2θ 54.9, d = 1.671 Å, rel. 27
- (2 2 0), 2θ 57.4, d = 1.606 Å, rel. 30
- (1 2 2), 2θ 62.7, d = 1.482 Å, rel. 23